Entry 1:
For LaPr2GaBr3, the GGA-PBE geometry in OQMD gives the calculated XRD peak list in this record (Cu Kα, 1.54184 Å).

Cell and atoms:
a = 6.072 Å, b = 6.072 Å, c = 6.091 Å
α = 90.00°, β = 90.00°, γ = 90.00°
Positions (direct):
La (0.000, 0.000, 0.000)
Pr (0.000, 0.500, 0.500)
Pr (0.500, 0.000, 0.500)
Ga (0.000, 0.000, 0.500)
Br (0.000, 0.500, 0.000)
Br (0.500, 0.000, 0.000)
Br (0.500, 0.500, 0.500)

Top 10 peaks for 10° ≤ 2θ ≤ 90°, by intensity:
- 29.39°, intensity 100
- 42.04°, intensity 75
- 52.12°, intensity 26
- 69.16°, intensity 22
- 20.67°, intensity 20
- 76.87°, intensity 17
- 14.57°, intensity 16
- 69.00°, intensity 11
- 32.95°, intensity 9
- 36.20°, intensity 9

---

Entry 2:
For LaSmGa2Br2, the GGA-PBE geometry in OQMD gives the calculated XRD peak list in this record (Cu Kα, 1.54184 Å).

Cell and atoms:
a = 4.256 Å, b = 4.256 Å, c = 11.583 Å
α = 90.00°, β = 90.00°, γ = 120.00°
Positions (direct):
La (0.000, 0.000, 0.000)
Sm (0.000, 0.000, 0.632)
Ga (0.333, 0.667, 0.841)
Ga (0.667, 0.333, 0.785)
Br (0.333, 0.667, 0.481)
Br (0.667, 0.333, 0.160)

Top 10 peaks for 10° ≤ 2θ ≤ 90°, by intensity:
- 33.61°, intensity 100
- 28.71°, intensity 70
- 42.48°, intensity 53
- 46.29°, intensity 24
- 55.22°, intensity 24
- 72.07°, intensity 21
- 25.36°, intensity 21
- 65.25°, intensity 17
- 52.07°, intensity 13
- 24.14°, intensity 11

---

Entry 3:
For La2SmGaBr3, the GGA-PBE geometry in OQMD gives the calculated XRD peak list in this record (Cu Kα, 1.54184 Å).

Cell and atoms:
a = 6.081 Å, b = 6.081 Å, c = 6.051 Å
α = 90.00°, β = 90.00°, γ = 90.00°
Positions (direct):
La (0.000, 0.500, 0.000)
La (0.500, 0.000, 0.000)
Sm (0.000, 0.000, 0.500)
Ga (0.000, 0.000, 0.000)
Br (0.000, 0.500, 0.500)
Br (0.500, 0.000, 0.500)
Br (0.500, 0.500, 0.000)

Top 10 peaks for 10° ≤ 2θ ≤ 90°, by intensity:
- 29.38°, intensity 100
- 42.14°, intensity 74
- 29.53°, intensity 49
- 52.19°, intensity 39
- 42.02°, intensity 37
- 69.12°, intensity 34
- 20.69°, intensity 29
- 76.86°, intensity 25
- 14.58°, intensity 25
- 69.39°, intensity 17

---

What did the third record say?
For La2SmGaBr3, the GGA-PBE geometry in OQMD gives the calculated XRD peak list in this record (Cu Kα, 1.54184 Å).

Cell and atoms:
a = 6.081 Å, b = 6.081 Å, c = 6.051 Å
α = 90.00°, β = 90.00°, γ = 90.00°
Positions (direct):
La (0.000, 0.500, 0.000)
La (0.500, 0.000, 0.000)
Sm (0.000, 0.000, 0.500)
Ga (0.000, 0.000, 0.000)
Br (0.000, 0.500, 0.500)
Br (0.500, 0.000, 0.500)
Br (0.500, 0.500, 0.000)

Top 10 peaks for 10° ≤ 2θ ≤ 90°, by intensity:
- 29.38°, intensity 100
- 42.14°, intensity 74
- 29.53°, intensity 49
- 52.19°, intensity 39
- 42.02°, intensity 37
- 69.12°, intensity 34
- 20.69°, intensity 29
- 76.86°, intensity 25
- 14.58°, intensity 25
- 69.39°, intensity 17